# 1
Structure and theoretical powder X-ray diffraction pattern of Li3Sn4 (DFT lattice parameters and positions (GGA-PBE); copper Kα).
Neutral-atom scattering factors, no anomalous dispersion.

Atomic structure:
a = 8.577 Å, b = 8.577 Å, c = 8.577 Å
α = 90.00°, β = 90.00°, γ = 90.00°
Space group I-43d (No. 220)
Asymmetric unit:
1 Li 0.000 0.250 0.875 x12
2 Sn 0.084 0.416 0.584 x16

The 10 most intense peaks (2θ = 15–90°), in order of falling intensity:
2θ/deg  Rel. int.
25.4  1000
39.3  735
33.0  586
54.6  389
52.2  363
67.3  233
78.9  155
71.2  132
75.1  114
29.5  108

# 2
Structure and theoretical powder X-ray diffraction pattern of Li5Sn4 (DFT lattice parameters and positions (GGA-PBE); copper Kα).
Neutral-atom scattering factors, no anomalous dispersion.

Atomic structure:
a = 9.945 Å, b = 4.314 Å, c = 9.151 Å
α = 90.00°, β = 108.90°, γ = 90.00°
Space group C2/m (No. 12)
Asymmetric unit:
1 Li 0.000 0.000 0.000 x2
2 Li 0.156 0.500 0.880 x4
3 Li 0.167 0.500 0.550 x4
4 Sn 0.007 0.000 0.332 x4
5 Sn 0.175 0.500 0.206 x4

The 10 most intense peaks (2θ = 15–90°), in order of falling intensity:
2θ/deg  Rel. int.
36.1  1000
23.6  932
35.4  773
20.5  588
24.3  476
41.9  250
41.7  248
40.9  230
60.6  170
60.0  154

# 3
Structure and theoretical powder X-ray diffraction pattern of Li2Sn5 (DFT lattice parameters and positions (GGA-PBE); copper Kα).
Neutral-atom scattering factors, no anomalous dispersion.

Atomic structure:
a = 10.418 Å, b = 10.418 Å, c = 3.093 Å
α = 90.00°, β = 90.00°, γ = 90.00°
Space group P4/mbm (No. 127)
Asymmetric unit:
1 Li 0.176 0.324 0.000 x4
2 Sn 0.000 0.500 0.500 x2
3 Sn 0.069 0.795 0.500 x8

The 10 most intense peaks (2θ = 15–90°), in order of falling intensity:
2θ/deg  Rel. int.
28.9  1000
27.1  927
35.5  722
40.0  717
46.4  621
30.9  572
42.8  491
70.8  457
19.0  402
63.1  300

# 4
Structure and theoretical powder X-ray diffraction pattern of Li3Sn4 (DFT lattice parameters and positions (GGA-PBE); copper Kα).
Neutral-atom scattering factors, no anomalous dispersion.

Atomic structure:
a = 4.7972 Å, b = 4.7972 Å, c = 22.8297 Å
α = 90.00°, β = 90.00°, γ = 120.00°
Space group R-3m (No. 166, hexagonal axes)
Asymmetric unit:
1 Li 0.0000 0.0000 0.0000 x3
2 Li 0.0000 0.0000 0.2546 x6
3 Sn 0.0000 0.0000 0.1285 x6
4 Sn 0.0000 0.0000 0.3837 x6

The 10 most intense peaks (2θ = 15–90°), in order of falling intensity:
2θ/deg  Rel. int.
26.5  1000
37.5  480
38.3  407
46.5  226
61.2  205
68.2  157
62.3  154
54.6  149
67.7  90
86.1  87

# 5
Structure and theoretical powder X-ray diffraction pattern of LiSn5 (DFT lattice parameters and positions (GGA-PBE); copper Kα).
Neutral-atom scattering factors, no anomalous dispersion.

Atomic structure:
a = 5.688 Å, b = 10.111 Å, c = 6.104 Å
α = 90.00°, β = 115.90°, γ = 90.00°
Space group P2_1/m (No. 11)
Asymmetric unit:
1 Li 0.163 0.250 0.427 x2
2 Sn 0.154 0.088 0.894 x4
3 Sn 0.331 0.750 0.078 x2
4 Sn 0.354 0.596 0.601 x4

The 10 most intense peaks (2θ = 15–90°), in order of falling intensity:
2θ/deg  Rel. int.
32.1  1000
36.0  375
33.8  308
36.2  268
28.6  236
33.7  209
46.2  188
19.9  167
42.5  162
62.3  154

# 6
Structure and theoretical powder X-ray diffraction pattern of SrLi5Sn7 (DFT lattice parameters and positions (GGA-PBE); copper Kα).
Neutral-atom scattering factors, no anomalous dispersion.

Atomic structure:
a = 6.059 Å, b = 10.222 Å, c = 9.784 Å
α = 90.00°, β = 90.00°, γ = 90.00°
Space group Imm2 (No. 44)
Asymmetric unit:
1 Sr 0.000 0.000 0.000 x2
2 Li 0.000 0.500 0.259 x2
3 Li 0.243 0.252 0.748 x8
4 Sn 0.000 0.000 0.349 x2
5 Sn 0.000 0.000 0.649 x2
6 Sn 0.000 0.299 0.491 x4
7 Sn 0.000 0.341 0.009 x4
8 Sn 0.000 0.500 0.735 x2

The 10 most intense peaks (2θ = 15–90°), in order of falling intensity:
2θ/deg  Rel. int.
29.5  1000
35.4  952
30.1  913
35.9  582
25.2  517
18.1  463
39.2  410
40.7  367
65.3  332
31.1  332

# 7
Structure and theoretical powder X-ray diffraction pattern of Sr3Li4Sn4 (DFT lattice parameters and positions (GGA-PBE); copper Kα).
Neutral-atom scattering factors, no anomalous dispersion.

Atomic structure:
a = 3.888 Å, b = 5.026 Å, c = 15.730 Å
α = 80.83°, β = 82.94°, γ = 89.98°
Space group P-1 (No. 2)
Asymmetric unit:
1 Sr 0.000 0.000 0.000 x1
2 Sr 0.147 0.647 0.706 x2
3 Li 0.256 0.257 0.487 x2
4 Li 0.405 0.905 0.190 x2
5 Sn 0.313 0.813 0.374 x2
6 Sn 0.450 0.451 0.099 x2

The 10 most intense peaks (2θ = 15–90°), in order of falling intensity:
2θ/deg  Rel. int.
29.6  1000
36.7  569
30.7  474
31.3  409
22.8  388
35.7  378
17.3  347
47.8  286
60.9  267
44.8  245

Number 4 is which compound? Li3Sn4